For Rb2PrVO4, DFT lattice parameters and positions (PBE+U) gives the calculated PXRD pattern in this record (Cu Kα, 1.54184 Å).
Intensities are scaled so that the largest is 100.

Atomic structure:
Unit cell a=5.937 b=5.937 c=5.937 alpha=115.33 beta=115.33 gamma=98.30
Positions (direct):
Rb: 0.000 0.000 0.000
Rb: 0.750 0.250 0.500
Pr: 0.250 0.750 0.500
V: 0.500 0.500 0.000
O: 0.288 0.678 0.109
O: 0.322 0.431 0.610
O: 0.569 0.179 0.891
O: 0.821 0.712 0.390

Principal peaks in the range 10° ≤ 2θ ≤ 90°, by angle:
18.0°, 4.916 Å, rel. 11.5; 19.8°, 4.491 Å, rel. 8.5; 28.1°, 3.175 Å, rel. 47.7; 30.4°, 2.937 Å, rel. 100.0; 40.2°, 2.245 Å, rel. 24.4; 51.2°, 1.784 Å, rel. 46.3; 55.5°, 1.656 Å, rel. 18.2; 63.3°, 1.469 Å, rel. 12.4; 65.8°, 1.420 Å, rel. 11.4; 67.0°, 1.397 Å, rel. 11.2; 81.1°, 1.186 Å, rel. 12.0; 84.5°, 1.146 Å, rel. 10.2